For Li2Ti2FeO6, a GGA+U-relaxed structure gives the calculated PXRD pattern in this record (Cu Kα).
Intensities are scaled so that the largest is 100.

```
data_Li2Ti2FeO6
_cell_length_a 9.0693
_cell_length_b 5.1601
_cell_length_c 10.4038
_cell_angle_alpha 90.00
_cell_angle_beta 90.00
_cell_angle_gamma 90.00
_symmetry_space_group_name_H-M 'C m c e'
_symmetry_Int_Tables_number 64
_symmetry_space_group_name_Hall '-C 2ac 2'
loop_
_atom_site_label
_atom_site_fract_x
_atom_site_fract_y
_atom_site_fract_z
Li1 0.2500 0.0781 0.2500
Ti1 0.1603 0.0000 0.0000
Fe1 0.0000 0.0000 0.5000
O1 0.0000 0.1432 0.9001
O2 0.1840 0.1814 0.6072
```

The 8 most intense peaks (10° ≤ 2θ ≤ 80°), in order of falling intensity:
hkl 0 0 2, 5.202 Å, I = 100; hkl 3 1 3, 2.085 Å, I = 32; hkl 3 1 1, 2.530 Å, I = 28; hkl 3 1 5, 1.627 Å, I = 18; hkl 3 3 1, 1.480 Å, I = 15; hkl 0 2 4, 1.832 Å, I = 15; hkl 0 2 2, 2.311 Å, I = 14; hkl 3 1 2, 2.332 Å, I = 10